For Ac2Hg3Ir2, a DFT-relaxed cell (GGA-PBE, Alexandria) gives the calculated PXRD pattern in this record (Cu Kα (λ = 1.5418 Å)).
Peak positions follow from Bragg's law for the DFT cell and can differ from measured ones.

Principal peaks in the range 2θ = 10–90°, by intensity:
29.57 deg, d = 3.021 Å, intensity 1000; 33.63 deg, d = 2.665 Å, intensity 590; 37.28 deg, d = 2.412 Å, intensity 536; 57.31 deg, d = 1.608 Å, intensity 315; 54.64 deg, d = 1.680 Å, intensity 304; 41.75 deg, d = 2.164 Å, intensity 271; 41.89 deg, d = 2.156 Å, intensity 268; 60.63 deg, d = 1.527 Å, intensity 183; 36.80 deg, d = 2.443 Å, intensity 179; 32.14 deg, d = 2.785 Å, intensity 162

Atomic structure:
abc: 10.3960 10.3960 4.3127
angles: 90.00 90.00 155.98
Atoms (fractional coordinates):
Ac (0.1660, 0.8340, 0.0000)
Ac (0.8340, 0.1660, 0.0000)
Hg (0.0000, 0.0000, 0.0000)
Hg (0.4275, 0.5725, 0.5000)
Hg (0.5725, 0.4275, 0.5000)
Ir (0.2847, 0.7153, 0.5000)
Ir (0.7153, 0.2847, 0.5000)